1.
For Ba2LiV2Si4O14, the GGA+U geometry in the Materials Project gives the simulated X-ray diffraction stick pattern in this record (Cu Kα).

Structure:
a b c (Å): 5.505 7.265 8.182
angles (deg): 90.84 109.26 90.81
Element x y z (fractional)
Ba: 0.000 0.000 0.000
Ba: 0.411 0.506 0.811
Li: 0.086 0.247 0.413
V: 0.090 0.512 0.179
V: 0.327 0.988 0.610
Si: 0.586 0.232 0.189
Si: 0.599 0.783 0.199
Si: 0.805 0.281 0.609
Si: 0.817 0.728 0.614
O: 0.096 0.207 0.666
O: 0.108 0.810 0.699
O: 0.195 0.500 0.393
O: 0.196 0.018 0.378
O: 0.302 0.319 0.100
O: 0.309 0.694 0.108
O: 0.569 0.006 0.141
O: 0.613 0.191 0.700
O: 0.622 0.808 0.707
O: 0.697 0.268 0.397
O: 0.703 0.754 0.405
O: 0.800 0.694 0.111
O: 0.803 0.317 0.111
O: 0.833 0.505 0.664

Top 8 peaks for 2θ from 10° to 90°, low angle first:
2theta	Rel. int.
11.46	47
21.18	34
26.36	65
26.71	35
26.87	100
32.53	51
42.34	45
50.25	33



2.
For SrEu3Ni2O8, the GGA+U geometry in the Materials Project gives the simulated X-ray diffraction stick pattern in this record (Cu Kα).

Structure:
a b c (Å): 5.380 6.765 6.765
angles (deg): 47.08 90.00 90.00
Element x y z (fractional)
Sr: 0.000 0.000 0.000
Eu: 0.000 0.718 0.718
Eu: 0.500 0.218 0.218
Eu: 0.500 0.497 0.497
Ni: 0.000 0.359 0.359
Ni: 0.500 0.861 0.861
O: 0.000 0.196 0.196
O: 0.000 0.530 0.530
O: 0.253 0.108 0.601
O: 0.253 0.601 0.108
O: 0.500 0.031 0.031
O: 0.500 0.685 0.685
O: 0.747 0.108 0.601
O: 0.747 0.601 0.108

Top 8 peaks for 2θ from 10° to 90°, low angle first:
2theta	Rel. int.
24.42	23
31.93	100
33.16	35
33.31	35
43.52	17
47.71	35
58.46	18
58.65	18



3.
For BaYMgCoCuO5, the GGA+U geometry in the Materials Project gives the simulated X-ray diffraction stick pattern in this record (Cu Kα).

Structure:
a b c (Å): 3.882 3.882 9.443
angles (deg): 90.00 90.00 90.00
Element x y z (fractional)
Ba: 0.000 0.000 0.000
Y: 0.000 0.000 0.376
Mg: 0.000 0.000 0.661
Co: 0.500 0.500 0.684
Cu: 0.500 0.500 0.231
O: 0.000 0.500 0.248
O: 0.000 0.500 0.586
O: 0.500 0.000 0.248
O: 0.500 0.000 0.586
O: 0.500 0.500 0.907

Top 8 peaks for 2θ from 10° to 90°, low angle first:
2theta	Rel. int.
28.35	31
29.79	100
32.62	67
36.76	45
43.76	36
46.80	46
56.47	32
60.94	20



4.
For TiMn3O8, the GGA+U geometry in the Materials Project gives the simulated X-ray diffraction stick pattern in this record (Cu Kα).

Structure:
a b c (Å): 5.787 5.787 9.036
angles (deg): 90.00 90.00 120.00
Element x y z (fractional)
Ti: 0.333 0.667 0.000
Ti: 0.667 0.333 0.500
Mn: 0.168 0.337 0.716
Mn: 0.168 0.832 0.716
Mn: 0.337 0.168 0.216
Mn: 0.663 0.832 0.716
Mn: 0.832 0.168 0.216
Mn: 0.832 0.663 0.216
O: 0.000 0.000 0.319
O: 0.000 0.000 0.819
O: 0.040 0.520 0.837
O: 0.167 0.334 0.103
O: 0.167 0.833 0.103
O: 0.333 0.667 0.606
O: 0.334 0.167 0.603
O: 0.480 0.520 0.837
O: 0.480 0.960 0.837
O: 0.520 0.040 0.337
O: 0.520 0.480 0.337
O: 0.666 0.833 0.103
O: 0.667 0.333 0.106
O: 0.833 0.167 0.603
O: 0.833 0.666 0.603
O: 0.960 0.480 0.337

Top 8 peaks for 2θ from 10° to 90°, low angle first:
2theta	Rel. int.
19.65	84
20.26	100
36.89	42
37.24	55
41.20	47
47.18	61
63.47	42
64.40	39



5.
For Co2OF3, the GGA+U geometry in the Materials Project gives the simulated X-ray diffraction stick pattern in this record (Cu Kα).

Structure:
a b c (Å): 5.644 5.644 5.644
angles (deg): 112.18 105.54 110.76
Element x y z (fractional)
Co: 0.000 0.000 0.000
Co: 0.464 0.216 0.752
Co: 0.464 0.712 0.248
Co: 0.930 0.430 0.500
O: 0.272 0.272 0.000
O: 0.654 0.154 0.500
F: 0.158 0.214 0.443
F: 0.158 0.715 0.944
F: 0.244 0.744 0.500
F: 0.684 0.684 0.000
F: 0.771 0.214 0.056
F: 0.771 0.715 0.557

Top 8 peaks for 2θ from 10° to 90°, low angle first:
2theta	Rel. int.
26.10	91
27.82	73
34.34	100
40.14	18
51.55	63
53.52	39
58.64	18
67.01	33



6.
For V2GaO5, the GGA+U geometry in the Materials Project gives the simulated X-ray diffraction stick pattern in this record (Cu Kα).

Structure:
a b c (Å): 5.080 8.033 8.343
angles (deg): 71.31 72.35 89.34
Element x y z (fractional)
V: 0.000 0.000 0.000
V: 0.014 0.638 0.656
V: 0.416 0.382 0.349
V: 0.465 0.892 0.744
V: 0.638 0.676 0.424
V: 0.841 0.639 0.038
Ga: 0.002 0.055 0.382
Ga: 0.633 0.250 0.707
Ga: 0.740 0.301 0.038
O: 0.017 0.484 0.884
O: 0.178 0.789 0.976
O: 0.284 0.521 0.487
O: 0.286 0.118 0.772
O: 0.338 0.161 0.365
O: 0.381 0.771 0.592
O: 0.495 0.466 0.100
O: 0.691 0.145 0.927
O: 0.692 0.804 0.193
O: 0.726 0.491 0.631
O: 0.756 0.103 0.570
O: 0.779 0.760 0.799
O: 0.780 0.476 0.299
O: 0.947 0.809 0.443
O: 0.952 0.141 0.159

Top 8 peaks for 2θ from 10° to 90°, low angle first:
2theta	Rel. int.
18.42	76
22.75	29
23.07	100
24.97	91
25.06	49
31.40	60
35.66	36
35.93	49



7.
For Na2Ni4Mo4H5O20, the GGA+U geometry in the Materials Project gives the simulated X-ray diffraction stick pattern in this record (Cu Kα).

Structure:
a b c (Å): 5.696 7.682 9.986
angles (deg): 107.01 94.35 95.12
Element x y z (fractional)
Na: 0.250 0.249 0.250
Na: 0.750 0.751 0.750
Ni: 0.000 0.000 0.500
Ni: 0.251 0.751 0.249
Ni: 0.500 0.500 0.000
Ni: 0.749 0.249 0.751
Mo: 0.226 0.430 0.648
Mo: 0.277 0.070 0.853
Mo: 0.723 0.930 0.147
Mo: 0.774 0.570 0.352
H: 0.000 0.500 0.000
H: 0.163 0.702 0.980
H: 0.342 0.799 0.521
H: 0.658 0.201 0.479
H: 0.837 0.298 0.020
O: 0.054 0.526 0.284
O: 0.058 0.112 0.722
O: 0.156 0.873 0.891
O: 0.174 0.244 0.486
O: 0.179 0.612 0.033
O: 0.296 0.876 0.461
O: 0.328 0.256 0.015
O: 0.348 0.627 0.610
O: 0.441 0.972 0.212
O: 0.446 0.389 0.779
O: 0.554 0.611 0.221
O: 0.559 0.028 0.788
O: 0.652 0.373 0.390
O: 0.672 0.744 0.985
O: 0.704 0.124 0.539
O: 0.821 0.388 0.967
O: 0.826 0.756 0.514
O: 0.844 0.127 0.109
O: 0.942 0.888 0.278
O: 0.946 0.474 0.716

Top 8 peaks for 2θ from 10° to 90°, low angle first:
2theta	Rel. int.
17.41	100
25.11	81
27.15	68
29.30	63
31.72	43
34.12	79
35.22	35
52.50	43